[1]
For Sm12Al7Si, a structure optimized by DFT (PBE) gives the computed powder X-ray diffraction pattern in this record (Cu Kα X-rays).
No peak broadening, texture or thermal motion is included.

```
data_Sm12Al7Si
_chemical_formula_sum 'Sm48 Al28 Si4'
_cell_length_a 11.8848
_cell_length_b 11.8848
_cell_length_c 15.6293
_cell_angle_alpha 90.00
_cell_angle_beta 90.00
_cell_angle_gamma 90.00
_symmetry_space_group_name_H-M 'I 4/m c m'
_symmetry_Int_Tables_number 140
_symmetry_space_group_name_Hall '-I 4 2c'
loop_
_atom_site_label
_atom_site_fract_x
_atom_site_fract_y
_atom_site_fract_z
Sm1 0.0000 0.5000 0.1487
Sm2 0.0637 0.1978 0.1366
Sm3 0.1708 0.3292 0.5000
Al1 0.0000 0.0000 0.0000
Al2 0.1184 0.3816 0.0000
Al3 0.1794 0.3206 0.2953
Si1 0.0000 0.0000 0.2500
```

Main lines, in order of rising 2θ (2θ = 10–90°):
- hkl 0 0 4, 2θ 22.8, I 37.8
- hkl 2 1 3, 2θ 23.9, I 37.0
- hkl 4 1 1, 2θ 31.6, I 95.1
- hkl 3 3 0, 2θ 31.9, I 38.6
- hkl 3 2 3, 2θ 32.1, I 46.7
- hkl 3 1 4, 2θ 33.1, I 100.0
- hkl 4 1 3, 2θ 35.6, I 27.3
- hkl 4 1 7, 2θ 51.8, I 34.4


[2]
For HoThOs, a structure optimized by DFT (PBE) gives the computed powder X-ray diffraction pattern in this record (Cu Kα X-rays).
No peak broadening, texture or thermal motion is included.

```
data_HoThOs
_chemical_formula_sum 'Ho6 Th6 Os6'
_cell_length_a 14.3814
_cell_length_b 3.9029
_cell_length_c 8.2023
_cell_angle_alpha 90.00
_cell_angle_beta 90.00
_cell_angle_gamma 90.00
_symmetry_space_group_name_H-M 'P m m a'
_symmetry_Int_Tables_number 51
loop_
_symmetry_equiv_pos_as_xyz
'x,y,z'
'-x,-y,-z'
'-x+1/2,-y,z'
'x+1/2,y,-z'
'x+1/2,-y,-z'
'-x+1/2,y,z'
'-x,y,-z'
'x,-y,z'
loop_
_atom_site_label
_atom_site_fract_x
_atom_site_fract_y
_atom_site_fract_z
Ho1 0.1217 0.0000 0.0630
Ho2 0.2500 0.0000 0.7074
Th1 0.0416 0.5000 0.6941
Th2 0.2500 0.5000 0.3566
Os1 0.0986 0.0000 0.4338
Os2 0.2500 0.5000 0.9661
```

Main lines, in order of rising 2θ (2θ = 10–90°):
- hkl 3 1 1, 2θ 31.5, I 100.0
- hkl 0 0 3, 2θ 32.8, I 24.4
- hkl 4 0 2, 2θ 33.1, I 24.5
- hkl 4 1 0, 2θ 33.9, I 71.6
- hkl 2 1 2, 2θ 34.1, I 49.6
- hkl 3 1 2, 2θ 36.9, I 43.4
- hkl 0 2 0, 2θ 46.5, I 37.3
- hkl 6 2 0, 2θ 61.2, I 28.8


Please write out number 1 again, unchanged.
For Sm12Al7Si, a structure optimized by DFT (PBE) gives the computed powder X-ray diffraction pattern in this record (Cu Kα X-rays).
No peak broadening, texture or thermal motion is included.

```
data_Sm12Al7Si
_chemical_formula_sum 'Sm48 Al28 Si4'
_cell_length_a 11.8848
_cell_length_b 11.8848
_cell_length_c 15.6293
_cell_angle_alpha 90.00
_cell_angle_beta 90.00
_cell_angle_gamma 90.00
_symmetry_space_group_name_H-M 'I 4/m c m'
_symmetry_Int_Tables_number 140
_symmetry_space_group_name_Hall '-I 4 2c'
loop_
_atom_site_label
_atom_site_fract_x
_atom_site_fract_y
_atom_site_fract_z
Sm1 0.0000 0.5000 0.1487
Sm2 0.0637 0.1978 0.1366
Sm3 0.1708 0.3292 0.5000
Al1 0.0000 0.0000 0.0000
Al2 0.1184 0.3816 0.0000
Al3 0.1794 0.3206 0.2953
Si1 0.0000 0.0000 0.2500
```

Main lines, in order of rising 2θ (2θ = 10–90°):
- hkl 0 0 4, 2θ 22.8, I 37.8
- hkl 2 1 3, 2θ 23.9, I 37.0
- hkl 4 1 1, 2θ 31.6, I 95.1
- hkl 3 3 0, 2θ 31.9, I 38.6
- hkl 3 2 3, 2θ 32.1, I 46.7
- hkl 3 1 4, 2θ 33.1, I 100.0
- hkl 4 1 3, 2θ 35.6, I 27.3
- hkl 4 1 7, 2θ 51.8, I 34.4


Number 1 is which compound? Sm12Al7Si